# BaSrHf2O6
Calculated XRD peak list, copper Kα. Input: a crystal structure in the Materials Project, relaxed with GGA-PBE.

Most intense lines, 15 to 90 degrees two-theta, by angle:
21.35 deg, I = 7, hkl 1 1 0; 30.31 deg, I = 100, hkl 2 0 0; 43.21 deg, I = 10, hkl 0 0 4; 43.49 deg, I = 19, hkl 2 2 0; 53.73 deg, I = 14, hkl 2 0 4; 53.91 deg, I = 28, hkl 3 1 2; 62.97 deg, I = 12, hkl 2 2 4; 71.69 deg, I = 12, hkl 4 2 0; 87.31 deg, I = 7, hkl 3 1 6; 87.55 deg, I = 8, hkl 4 2 4

Atomic structure:
Cell lengths 5.886, 5.886, 8.375 Å; angles 90.00, 90.00, 90.00 degrees
Space group I-42m (No. 121)
Inequivalent atoms, fractional coordinates:
1 Ba 0.000 0.000 0.000 (multiplicity 2)
2 Sr 0.000 0.000 0.500 (multiplicity 2)
3 Hf 0.000 0.500 0.250 (multiplicity 4)
4 O 0.000 0.500 0.000 (multiplicity 4)
5 O 0.221 0.221 0.748 (multiplicity 8)